Record 1
# Na2MoO4
Theoretical powder XRD pattern, Cu Kα X-rays. Input: a structure optimized by DFT (PBE+U).
Neutral-atom scattering factors, no anomalous dispersion.

Structure:
a b c (Å): 8.359 7.210 6.249
angles (deg): 76.41 56.98 46.61
Sites, in units of the cell vectors:
Na (0.056, 0.694, 0.056)
Na (0.306, 0.944, 0.306)
Na (0.694, 0.056, 0.694)
Na (0.944, 0.306, 0.944)
Mo (0.375, 0.375, 0.375)
Mo (0.625, 0.625, 0.625)
O (0.193, 0.712, 0.353)
O (0.242, 0.353, 0.712)
O (0.288, 0.807, 0.758)
O (0.353, 0.242, 0.193)
O (0.647, 0.758, 0.807)
O (0.712, 0.193, 0.242)
O (0.758, 0.647, 0.288)
O (0.807, 0.288, 0.647)

Most intense lines, 10 to 90 degrees two-theta, in order of rising 2θ:
| Position (°2θ) | intensity |
| --- | --- |
| 17.39 | 100 |
| 21.64 | 46 |
| 26.25 | 63 |
| 29.45 | 89 |
| 30.80 | 54 |
| 45.69 | 34 |

Record 2
# Na2UW2O10
Theoretical powder XRD pattern, Cu Kα X-rays. Input: a structure optimized by DFT (PBE+U).
Neutral-atom scattering factors, no anomalous dispersion.

Structure:
a b c (Å): 6.825 7.666 8.634
angles (deg): 89.92 86.99 73.45
Sites, in units of the cell vectors:
Na (0.087, 0.106, 0.292)
Na (0.099, 0.595, 0.299)
Na (0.901, 0.405, 0.701)
Na (0.913, 0.894, 0.708)
U (0.494, 0.251, 0.522)
U (0.506, 0.749, 0.478)
W (0.340, 0.042, 0.863)
W (0.342, 0.540, 0.862)
W (0.658, 0.460, 0.138)
W (0.660, 0.958, 0.137)
O (0.079, 0.125, 0.817)
O (0.082, 0.590, 0.811)
O (0.214, 0.321, 0.495)
O (0.224, 0.821, 0.458)
O (0.331, 0.069, 0.078)
O (0.332, 0.515, 0.076)
O (0.340, 0.791, 0.864)
O (0.408, 0.274, 0.813)
O (0.476, 0.984, 0.648)
O (0.481, 0.527, 0.648)
O (0.519, 0.473, 0.352)
O (0.524, 0.016, 0.352)
O (0.592, 0.726, 0.187)
O (0.660, 0.209, 0.136)
O (0.668, 0.485, 0.924)
O (0.669, 0.931, 0.922)
O (0.776, 0.179, 0.542)
O (0.786, 0.679, 0.505)
O (0.918, 0.410, 0.189)
O (0.921, 0.875, 0.183)

Most intense lines, 10 to 90 degrees two-theta, in order of rising 2θ:
| Position (°2θ) | intensity |
| --- | --- |
| 13.55 | 100 |
| 16.57 | 35 |
| 25.37 | 41 |
| 26.49 | 71 |
| 28.70 | 38 |
| 31.74 | 34 |

Record 3
# Li3Co2Si2O8
Theoretical powder XRD pattern, Cu Kα X-rays. Input: a structure optimized by DFT (PBE+U).
Neutral-atom scattering factors, no anomalous dispersion.

Structure:
a b c (Å): 5.015 5.533 6.132
angles (deg): 89.81 89.84 89.66
Sites, in units of the cell vectors:
Li (0.000, 0.000, 0.000)
Li (0.000, 0.005, 0.497)
Li (0.509, 0.330, 0.003)
Co (0.010, 0.503, 0.255)
Co (0.502, 0.822, 0.746)
Si (0.007, 0.494, 0.751)
Si (0.511, 0.824, 0.245)
O (0.336, 0.525, 0.770)
O (0.397, 0.550, 0.227)
O (0.397, 0.949, 0.474)
O (0.410, 0.979, 0.022)
O (0.839, 0.833, 0.248)
O (0.883, 0.778, 0.750)
O (0.904, 0.346, 0.970)
O (0.934, 0.346, 0.532)

Most intense lines, 10 to 90 degrees two-theta, in order of rising 2θ:
| Position (°2θ) | intensity |
| --- | --- |
| 16.02 | 100 |
| 23.88 | 80 |
| 24.02 | 89 |
| 29.13 | 53 |
| 33.41 | 75 |
| 35.81 | 61 |